Entry 1:
Structure and theoretical PXRD pattern of Er3In2Ga (a GGA-PBE-relaxed structure; Cu Kα).
Neutral-atom scattering factors, no anomalous dispersion.

Crystal structure
Cell: 5.1869 5.1869 6.3822 Å, 90.00 90.00 120.00°
Positions (direct):
Er: 0.0000 0.0000 0.0000
Er: 0.3333 0.6667 0.6544
Er: 0.6667 0.3333 0.3456
In: 0.3333 0.6667 0.1600
In: 0.6667 0.3333 0.8400
Ga: 0.0000 0.0000 0.5000

Top 10 peaks for 2θ = 10–80°, in order of rising 2θ:
- (1 0 1), 24.23 deg, d 3.673, rel. 14.3
- (0 1 2), 34.48 deg, d 2.601, rel. 100.0
- (1 1 0), 34.59 deg, d 2.593, rel. 98.7
- (0 2 1), 42.68 deg, d 2.119, rel. 3.4
- (2 0 2), 49.64 deg, d 1.837, rel. 35.5
- (2 1 1), 56.05 deg, d 1.641, rel. 3.2
- (1 0 4), 61.69 deg, d 1.504, rel. 17.6
- (3 0 0), 61.93 deg, d 1.498, rel. 54.3
- (0 2 4), 72.69 deg, d 1.301, rel. 10.8
- (2 2 0), 72.96 deg, d 1.297, rel. 11.1



Entry 2:
Structure and theoretical PXRD pattern of Er3In4Ga2 (a GGA-PBE-relaxed structure; Cu Kα).
Neutral-atom scattering factors, no anomalous dispersion.

Crystal structure
Cell: 7.5521 7.5521 4.3510 Å, 90.00 90.00 120.00°
Positions (direct):
Er: 0.0000 0.4074 0.0000
Er: 0.4074 0.0000 0.0000
Er: 0.5926 0.5926 0.0000
In: 0.0000 0.0000 0.0000
In: 0.0000 0.7289 0.5000
In: 0.2711 0.2711 0.5000
In: 0.7289 0.0000 0.5000
Ga: 0.3333 0.6667 0.5000
Ga: 0.6667 0.3333 0.5000

Top 10 peaks for 2θ = 10–80°, in order of rising 2θ:
- (1 1 1), 31.37 deg, d 2.852, rel. 100.0
- (2 0 1), 34.30 deg, d 2.614, rel. 76.7
- (2 1 0), 36.34 deg, d 2.472, rel. 33.4
- (0 0 2), 41.46 deg, d 2.178, rel. 57.0
- (2 1 1), 42.04 deg, d 2.149, rel. 13.1
- (3 1 0), 50.32 deg, d 1.813, rel. 17.4
- (3 1 1), 54.83 deg, d 1.674, rel. 15.1
- (2 1 2), 56.33 deg, d 1.633, rel. 20.8
- (3 0 2), 60.08 deg, d 1.540, rel. 20.1
- (3 2 1), 65.84 deg, d 1.418, rel. 25.9



Entry 3:
Structure and theoretical PXRD pattern of Er2InGaO6 (a GGA-PBE-relaxed structure; Cu Kα).
Neutral-atom scattering factors, no anomalous dispersion.

Crystal structure
Cell: 5.2410 5.2410 5.0978 Å, 90.00 90.00 90.00°
Positions (direct):
Er: 0.0000 0.5000 0.0000
Er: 0.5000 0.0000 0.0000
In: 0.0000 0.0000 0.5743
Ga: 0.5000 0.5000 0.5997
O: 0.0000 0.0000 0.1737
O: 0.2583 0.2583 0.7563
O: 0.2583 0.7417 0.7563
O: 0.5000 0.5000 0.2348
O: 0.7417 0.2583 0.7563
O: 0.7417 0.7417 0.7563

Top 10 peaks for 2θ = 10–80°, in order of rising 2θ:
- (0 0 1), 17.40 deg, d 5.098, rel. 19.3
- (1 1 1), 29.81 deg, d 2.998, rel. 100.0
- (2 0 0), 34.22 deg, d 2.621, rel. 34.6
- (0 0 2), 35.21 deg, d 2.549, rel. 9.4
- (1 1 2), 43.07 deg, d 2.100, rel. 15.6
- (2 2 0), 49.17 deg, d 1.853, rel. 19.3
- (2 0 2), 49.91 deg, d 1.827, rel. 24.3
- (3 1 1), 58.57 deg, d 1.576, rel. 29.7
- (1 1 3), 59.88 deg, d 1.545, rel. 9.2
- (2 2 2), 61.91 deg, d 1.499, rel. 8.0